LiSmPaIr: calculated PXRD pattern (a wavelength of 1.5418 Å), based on the GGA-PBE geometry in Alexandria.
Lines closer than 0.1° are merged.

```
LiSmPaIr
1.0
0.0000 3.5087 3.5087
3.5087 0.0000 3.5087
3.5087 3.5087 0.0000
Li Sm Pa Ir
1 1 1 1
Cartesian
0.0000 0.0000 0.0000
1.7544 1.7544 1.7544
5.2631 5.2631 5.2631
3.5087 3.5087 3.5087
```

Top 10 peaks for 2θ from 5° to 70°, sorted by position:
| 2theta | Rel. int. |
| --- | --- |
| 21.9 | 28 |
| 25.4 | 13 |
| 36.2 | 100 |
| 42.7 | 16 |
| 44.7 | 4 |
| 52.1 | 18 |
| 57.2 | 7 |
| 58.9 | 5 |
| 65.1 | 37 |
| 69.6 | 5 |